Diffraction record for LiTm2SnO5. The powder X-ray diffraction pattern is computed, not measured: it uses a crystal structure in Alexandria, relaxed with PBE and copper Kα.
Peak positions follow from Bragg's law for the DFT cell and can differ from measured ones.

Main lines, in order of rising 2θ (10° ≤ 2θ ≤ 80°):
2θ 14.55, I = 87, (0 0 1)
2θ 19.51, I = 60, (1 1 0)
2θ 29.35, I = 51, (0 0 2)
2θ 31.07, I = 36, (2 1 0)
2θ 31.45, I = 100, (2 0 1)
2θ 34.47, I = 87, (2 1 1)
2θ 43.27, I = 69, (2 1 2)
2θ 47.08, I = 53, (3 1 1)

Cell and atoms:
```
data_LiTm2SnO5
_symmetry_space_group_name_H-M 'P 4/m b m'
_symmetry_Int_Tables_number 127
_symmetry_space_group_name_Hall '-P 4 2ab'
_cell_length_a 6.4357
_cell_length_b 6.4357
_cell_length_c 6.0870
_cell_angle_alpha 90.00
_cell_angle_beta 90.00
_cell_angle_gamma 90.00
loop_
_atom_site_label
_atom_site_type_symbol
_atom_site_fract_x
_atom_site_fract_y
_atom_site_fract_z
_atom_site_occupancy
Li1 Li 0.0000 0.0000 0.0000 1
Tm1 Tm 0.1769 0.3231 0.5000 1
Sn1 Sn 0.0000 0.5000 0.0000 1
O1 O 0.0000 0.0000 0.5000 1
O2 O 0.1447 0.6447 0.2644 1
```